[1]
The following is a calculated X-ray powder pattern of CeSm2S4. It was derived from DFT lattice parameters and positions (GGA-PBE), using a wavelength of 1.5418 Å.

Structure:
```
14
Lattice="-4.2505 4.2505 4.2653 4.2505 -4.2505 4.2653 4.2505 4.2505 -4.2653" Properties=species:S:1:pos:R:3 pbc="T T T"
Ce 0.0000 0.0000 0.0000
Ce 0.0000 4.2505 2.1326
Sm 2.1253 -0.9777 3.1990
Sm 3.2728 2.1253 1.0663
Sm 2.1253 5.2282 -1.0663
Sm 0.9777 2.1253 5.3316
S 3.6177 2.7532 -1.6854
S 5.7478 0.6328 0.4472
S 0.6328 2.7532 -0.4472
S 0.6328 1.4973 2.5799
S 1.4973 -0.6328 5.9507
S 3.6177 1.4973 3.8181
S 2.7532 4.8833 1.6854
S -1.4973 3.6177 4.7125
```

Largest 8 diffraction maxima, sorted by position, 15° ≤ 2θ ≤ 90°:
Position (°2θ)	d_spacing	intensity
25.6	3.474	100
33.3	2.693	58
33.3	2.688	35
39.6	2.275	57
47.8	1.902	27
50.3	1.814	25
55.0	1.668	19
67.9	1.380	25

[2]
The following is a calculated X-ray powder pattern of Ce2SmS4. It was derived from DFT lattice parameters and positions (GGA-PBE), using a wavelength of 1.5418 Å.

Structure:
```
14
Lattice="-4.2484 4.2484 4.2829 4.2484 -4.2484 4.2829 4.2484 4.2484 -4.2829" Properties=species:S:1:pos:R:3 pbc="T T T"
Ce 6.3726 1.0679 -1.0707
Ce 1.0679 2.1242 1.0707
Ce -2.1242 3.1805 3.2122
Ce 3.1805 2.1242 5.3536
Sm 4.2484 0.0000 2.1415
Sm 0.0000 0.0000 4.2829
S 1.4976 -0.6338 1.7279
S 3.6146 1.4976 -0.4135
S 2.7508 4.8822 -2.5550
S 2.7508 -0.6338 4.6964
S 3.6146 2.7508 2.5550
S 1.4976 4.8822 0.4135
S 0.6338 2.7508 3.8694
S 0.6338 1.4976 6.8379
```

Largest 8 diffraction maxima, sorted by position, 15° ≤ 2θ ≤ 90°:
Position (°2θ)	d_spacing	intensity
25.5	3.488	51
25.6	3.473	100
33.1	2.707	49
33.3	2.688	94
39.5	2.283	29
39.6	2.274	60
47.8	1.901	39
50.2	1.816	39